(1)
Starting from DFT lattice parameters and positions (GGA+U), the powder X-ray diffraction pattern of Li9Mn2Co5O16 was calculated for a wavelength of 1.5418 Å.

Cell and atoms:
```
Li9Mn2Co5O16
1.0
5.9254 0.0000 0.0000
2.7076 7.1470 0.0000
2.7775 2.4053 6.7919
Li Mn Co O
9 2 5 16
direct
0.0000 0.0000 0.0000
0.0012 0.4926 0.5077
0.1328 0.3725 0.8663
0.2522 0.7479 0.7522
0.3602 0.1314 0.6315
0.5034 0.4903 0.5109
0.6250 0.8699 0.3827
0.7500 0.2477 0.2547
0.8798 0.6166 0.1365
0.1309 0.8673 0.3822
0.3711 0.6213 0.1320
0.2398 0.2517 0.2601
0.5000 0.0054 0.9983
0.6340 0.3717 0.8718
0.7611 0.7405 0.7499
0.8786 0.1260 0.6256
0.0343 0.7457 0.2513
0.1199 0.6402 0.6173
0.1367 0.1120 0.1450
0.2529 0.5038 0.0162
0.2555 0.9919 0.4895
0.3758 0.3782 0.3552
0.3851 0.8621 0.8982
0.4742 0.7484 0.2553
0.4977 0.2465 0.7591
0.6170 0.1258 0.1133
0.6293 0.6194 0.6495
0.7196 0.5108 0.0111
0.7921 0.9851 0.4976
0.8581 0.8886 0.8586
0.8862 0.3478 0.3960
0.9788 0.2431 0.7532
```

Largest 8 diffraction maxima, by angle, 5 to 70 degrees two-theta:
index	d_spacing	I_rel
1 0 1	4.837	100.0
-1 1 2	2.541	15.3
1 2 -1	2.494	13.2
-2 1 1	2.123	29.5
0 2 -2	2.071	27.2
2 3 3	2.044	26.1
2 1 -3	1.482	15.3
0 4 4	1.464	14.4

=====

(2)
Starting from DFT lattice parameters and positions (GGA+U), the powder X-ray diffraction pattern of Sr3CaMn2O8 was calculated for a wavelength of 1.5418 Å.

Cell and atoms:
```
Sr3CaMn2O8
1.0
3.8256 0.0000 0.0000
0.0000 3.8256 0.0000
0.0000 0.0000 12.4468
Sr Ca Mn O
3 1 2 8
direct
0.0000 0.0000 0.0000
0.0000 0.0000 0.2933
0.5000 0.5000 0.5074
0.5000 0.5000 0.7916
0.0000 0.0000 0.6537
0.5000 0.5000 0.1455
0.0000 0.0000 0.4948
0.0000 0.0000 0.8078
0.0000 0.5000 0.1465
0.0000 0.5000 0.6565
0.5000 0.0000 0.1465
0.5000 0.0000 0.6565
0.5000 0.5000 0.3046
0.5000 0.5000 0.9854
```

Largest 8 diffraction maxima, by angle, 5 to 70 degrees two-theta:
index	d_spacing	I_rel
1 0 3	2.812	100.0
1 1 0	2.705	74.3
0 0 6	2.074	18.3
1 1 4	2.042	25.4
2 0 0	1.913	43.0
1 1 6	1.646	17.7
2 1 3	1.582	35.7
2 0 6	1.406	18.0

=====

(3)
Starting from DFT lattice parameters and positions (GGA+U), the powder X-ray diffraction pattern of RbW3O9 was calculated for a wavelength of 1.5418 Å.

Cell and atoms:
```
RbW3O9
1.0
7.5359 0.0000 0.0000
-3.7680 6.5263 0.0000
0.0000 0.0000 7.7676
Rb W O
2 6 18
direct
0.0000 0.0000 0.0000
0.0000 0.0000 0.4935
0.0000 0.5016 0.2526
0.0000 0.5049 0.7526
0.4951 0.4951 0.7526
0.4984 0.4984 0.2526
0.5016 0.0000 0.2526
0.5049 0.0000 0.7526
0.0011 0.5053 0.5025
0.2081 0.4208 0.7532
0.2091 0.4206 0.2520
0.2115 0.7909 0.2520
0.2127 0.7919 0.7532
0.4209 0.2082 0.7519
0.4208 0.2092 0.2532
0.4947 0.4958 0.5025
0.4966 0.4956 0.0025
0.5044 0.0010 0.0025
0.5042 0.9989 0.5025
0.5792 0.7873 0.7532
0.5794 0.7885 0.2520
0.7873 0.5791 0.7519
0.7884 0.5792 0.2532
0.7908 0.2116 0.2532
0.7918 0.2127 0.7519
0.9990 0.5034 0.0025
```

Largest 8 diffraction maxima, by angle, 5 to 70 degrees two-theta:
index	d_spacing	I_rel
1 0 0	6.526	19.7
0 0 2	3.884	32.7
1 0 2	3.338	36.1
2 0 0	3.263	100.0
2 -1 2	2.704	20.6
2 0 2	2.498	32.1
2 2 0	1.884	25.4
2 0 4	1.669	28.7

=====

(4)
Starting from DFT lattice parameters and positions (GGA+U), the powder X-ray diffraction pattern of Li5Mn8B8O24 was calculated for a wavelength of 1.5418 Å.

Cell and atoms:
```
Li5Mn8B8O24
1.0
5.3222 0.0000 0.0000
0.0254 9.1064 0.0000
0.4650 0.0167 10.4119
Li Mn B O
5 8 8 24
direct
0.0000 0.0000 0.0000
0.0107 0.9710 0.5024
0.2098 0.4811 0.7548
0.2303 0.4896 0.2469
0.5275 0.4801 0.5197
0.0200 0.3298 0.0383
0.0195 0.6450 0.5424
0.2021 0.1379 0.2816
0.2031 0.8276 0.7871
0.5141 0.7906 0.0332
0.5182 0.1572 0.5318
0.6976 0.3112 0.7948
0.7114 0.6534 0.2898
0.0365 0.3100 0.5379
0.0435 0.6622 0.0409
0.1988 0.1666 0.7868
0.2015 0.7963 0.2925
0.5236 0.8216 0.5420
0.5251 0.1357 0.0385
0.6975 0.6434 0.7902
0.7026 0.3167 0.3033
0.0885 0.0367 0.8166
0.0909 0.2999 0.8297
0.0918 0.6645 0.3388
0.0998 0.9283 0.3231
0.1463 0.1772 0.4950
0.1504 0.7952 0.9931
0.1780 0.4335 0.5564
0.1809 0.5376 0.0551
0.2683 0.8190 0.5863
0.2694 0.1504 0.0814
0.4242 0.7791 0.2181
0.4299 0.1764 0.7157
0.5599 0.5210 0.7670
0.5634 0.4437 0.3159
0.5817 0.7680 0.8469
0.5904 0.1828 0.3458
0.6348 0.6886 0.5010
0.6443 0.0033 0.0402
0.6528 0.2611 0.9942
0.6572 0.9490 0.5392
0.7783 0.3138 0.5670
0.7931 0.6664 0.0823
0.9485 0.3165 0.2501
0.9540 0.6502 0.7515
```

Largest 8 diffraction maxima, by angle, 5 to 70 degrees two-theta:
index	d_spacing	I_rel
1 -1 0	4.591	38.3
0 2 0	4.553	80.6
0 2 1	4.172	50.4
-1 1 1	4.143	87.0
1 1 2	3.512	68.3
-1 1 2	3.379	43.3
1 3 0	2.636	74.3
0 0 4	2.603	100.0

=====

(5)
Starting from DFT lattice parameters and positions (GGA+U), the powder X-ray diffraction pattern of VH10S2N2O8 was calculated for a wavelength of 1.5418 Å.

Cell and atoms:
```
VH10S2N2O8
1.0
5.1414 0.0000 0.0000
0.0000 13.4843 0.0000
-4.6778 0.0000 6.7058
V H S N O
2 20 4 4 16
direct
0.0000 0.0000 0.0000
0.0000 0.5000 0.5000
0.1332 0.2198 0.2552
0.1332 0.2802 0.7552
0.1686 0.1808 0.6474
0.1686 0.3192 0.1474
0.2741 0.5658 0.8449
0.2741 0.9342 0.3449
0.3133 0.1746 0.8929
0.3133 0.3254 0.3929
0.4948 0.2493 0.8183
0.4948 0.2507 0.3183
0.5052 0.7493 0.6817
0.5052 0.7507 0.1817
0.6867 0.6746 0.6071
0.6867 0.8254 0.1071
0.7259 0.0658 0.6551
0.7259 0.4342 0.1551
0.8314 0.6808 0.8526
0.8314 0.8192 0.3526
0.8668 0.7198 0.2448
0.8668 0.7802 0.7448
0.2595 0.5668 0.2405
0.2595 0.9332 0.7405
0.7405 0.0668 0.2595
0.7405 0.4332 0.7595
0.2794 0.2209 0.7796
0.2794 0.2791 0.2796
0.7206 0.7209 0.7204
0.7206 0.7791 0.2204
0.0683 0.5929 0.3337
0.0683 0.9071 0.8337
0.1845 0.6533 0.1025
0.1845 0.8467 0.6025
0.2506 0.5820 0.7209
0.2506 0.9180 0.2209
0.3878 0.0844 0.0764
0.3878 0.4156 0.5764
0.6122 0.5844 0.4236
0.6122 0.9156 0.9236
0.7494 0.0820 0.7791
0.7494 0.4180 0.2791
0.8155 0.1533 0.3975
0.8155 0.3467 0.8975
0.9317 0.0929 0.1663
0.9317 0.4071 0.6663
```

Largest 8 diffraction maxima, by angle, 5 to 70 degrees two-theta:
index	d_spacing	I_rel
0 2 0	6.742	99.5
0 1 1	6.004	100.0
0 2 1	4.755	44.5
0 3 1	3.734	24.3
1 3 -1	3.380	26.5
1 3 0	3.075	50.6
1 3 -2	2.965	54.7
2 0 -2	2.564	19.2

=====

- What is the formula in the first record?
  Li9Mn2Co5O16